The following is a computed XRD peak list of KLiMnS2. It was derived from a DFT-relaxed cell (PBE, the Materials Project), using Cu Kα (weighted mean of Kα1 and Kα2).
Intensities are scaled so that the largest is 100.

Largest 6 diffraction maxima, low angle first, 2θ = 5–70°:
2θ/deg  I/Imax
22.89  38
29.84  100
34.00  35
44.61  31
52.14  32
54.59  30

Atomic structure:
Unit cell a=7.2399 b=7.2399 c=7.2399 alpha=147.41 beta=147.41 gamma=46.76
Sites, in units of the cell vectors:
K 0.0000 0.0000 0.0000
Li 0.7500 0.2500 0.5000
Mn 0.2500 0.7500 0.5000
S 0.3506 0.3506 0.0000
S 0.6494 0.6494 0.0000